(1)
Structure and calculated powder X-ray diffraction pattern of Ag3AsF12 (a DFT-relaxed cell (GGA-PBE, the Materials Project); copper Kα).
Kinematic intensities with the Lorentz-polarization factor, no thermal factor.

Structure:
```
Ag3AsF12
1.0
5.446 0.000 0.000
0.154 5.795 0.000
0.209 0.573 8.169
Ag As F
3 1 12
direct
0.000 0.000 0.000 Ag
0.000 0.000 0.500 Ag
0.500 0.500 0.000 Ag
0.500 0.500 0.500 As
0.052 0.990 0.753 F
0.179 0.663 0.044 F
0.244 0.365 0.419 F
0.340 0.195 0.025 F
0.345 0.507 0.692 F
0.370 0.778 0.437 F
0.630 0.222 0.563 F
0.655 0.493 0.308 F
0.660 0.805 0.975 F
0.756 0.635 0.581 F
0.821 0.337 0.956 F
0.948 0.010 0.247 F
```

Principal peaks in the range 2θ from 10° to 80°, in order of falling intensity:
2θ (°)	I/Imax
21.76	100.0
22.15	90.1
22.72	84.7
30.94	30.3
30.18	29.4
49.76	24.9
31.17	24.6
57.02	22.5
39.39	22.0
32.91	21.2


(2)
Structure and calculated powder X-ray diffraction pattern of Li2AgAsF6 (a DFT-relaxed cell (GGA-PBE, the Materials Project); copper Kα).
Kinematic intensities with the Lorentz-polarization factor, no thermal factor.

Structure:
```
Li2AgAsF6
1.0
0.000 4.407 4.407
4.407 0.000 4.407
4.407 4.407 0.000
Li Ag As F
2 1 1 6
direct
0.250 0.250 0.250 Li
0.750 0.750 0.750 Li
0.000 0.000 0.000 Ag
0.500 0.500 0.500 As
0.268 0.268 0.732 F
0.268 0.732 0.268 F
0.268 0.732 0.732 F
0.732 0.268 0.268 F
0.732 0.268 0.732 F
0.732 0.732 0.268 F
```

Principal peaks in the range 2θ from 10° to 80°, in order of falling intensity:
2θ (°)	I/Imax
20.15	100.0
28.65	44.2
46.05	40.9
40.96	30.7
63.31	18.2
59.31	17.8
50.74	17.6
67.17	8.7
78.21	8.2
74.60	5.4


(3)
Structure and calculated powder X-ray diffraction pattern of Na2AgAsF6 (a DFT-relaxed cell (GGA-PBE, the Materials Project); copper Kα).
Kinematic intensities with the Lorentz-polarization factor, no thermal factor.

Structure:
```
Na2AgAsF6
1.0
0.000 4.419 4.419
4.419 0.000 4.419
4.419 4.419 0.000
Na Ag As F
2 1 1 6
direct
0.250 0.250 0.250 Na
0.750 0.750 0.750 Na
0.000 0.000 0.000 Ag
0.500 0.500 0.500 As
0.268 0.268 0.732 F
0.268 0.732 0.268 F
0.268 0.732 0.732 F
0.732 0.268 0.268 F
0.732 0.268 0.732 F
0.732 0.732 0.268 F
```

Principal peaks in the range 2θ from 10° to 80°, in order of falling intensity:
2θ (°)	I/Imax
20.09	100.0
28.57	99.9
40.84	56.9
45.92	40.6
50.60	39.1
59.13	33.0
66.97	18.4
63.12	18.3
74.36	10.0
77.96	8.5


(4)
Structure and calculated powder X-ray diffraction pattern of AgAs3H2O9 (a DFT-relaxed cell (GGA-PBE, the Materials Project); copper Kα).
Kinematic intensities with the Lorentz-polarization factor, no thermal factor.

Structure:
```
AgAs3H2O9
1.0
7.338 0.000 0.000
-2.149 7.499 0.000
-2.294 -3.674 6.789
Ag As H O
2 6 4 18
direct
0.203 0.171 0.458 Ag
0.797 0.829 0.542 Ag
0.128 0.648 0.334 As
0.315 0.166 0.043 As
0.344 0.563 0.024 As
0.656 0.437 0.976 As
0.685 0.834 0.957 As
0.872 0.352 0.666 As
0.136 0.812 0.891 H
0.369 0.635 0.578 H
0.631 0.365 0.422 H
0.864 0.188 0.109 H
0.102 0.854 0.461 O
0.108 0.562 0.854 O
0.110 0.927 0.877 O
0.181 0.311 0.995 O
0.219 0.532 0.468 O
0.310 0.714 0.239 O
0.406 0.209 0.277 O
0.413 0.437 0.820 O
0.495 0.820 0.051 O
0.505 0.180 0.949 O
0.587 0.563 0.180 O
0.594 0.791 0.723 O
0.690 0.286 0.761 O
0.781 0.468 0.532 O
0.819 0.689 0.005 O
0.890 0.073 0.123 O
0.892 0.438 0.146 O
0.898 0.146 0.539 O
```

Principal peaks in the range 2θ from 10° to 80°, in order of falling intensity:
2θ (°)	I/Imax
22.86	100.0
29.08	97.9
24.60	64.6
23.73	61.4
26.25	50.3
29.81	40.3
32.11	35.9
38.62	34.8
35.54	34.8
14.69	33.4